[1]
Diffraction record for Tm5Cu4Ni. The powder X-ray diffraction pattern is theoretical, not measured: it uses a DFT-relaxed cell (GGA-PBE, Alexandria) and Cu Kα.

Main lines, in order of falling intensity (2θ from 10° to 90°):
2θ/deg	Rel. int.	h k l
37.30	100	1 0 5
37.63	49	1 1 0
67.71	34	2 1 5
26.37	22	1 0 0
54.27	17	2 0 0
67.06	17	1 1 10
25.91	11	0 0 5
79.53	10	2 0 10
46.26	10	1 1 5
53.29	9	0 0 10

Crystal structure
a = 3.380 Å, b = 3.380 Å, c = 17.191 Å
α = 90.00°, β = 90.00°, γ = 90.00°
Space group P4/mmm (No. 123)
Symmetry-distinct sites (fractional):
Tm 0.000 0.000 0.000 [1 per cell]
Tm 0.000 0.000 0.203 [2 per cell]
Tm 0.000 0.000 0.405 [2 per cell]
Cu 0.500 0.500 0.101 [2 per cell]
Cu 0.500 0.500 0.303 [2 per cell]
Ni 0.500 0.500 0.500 [1 per cell]



[2]
Diffraction record for CeSmMgTc. The powder X-ray diffraction pattern is theoretical, not measured: it uses a DFT-relaxed cell (GGA-PBE, Alexandria) and Cu Kα.

Main lines, in order of falling intensity (2θ from 10° to 90°):
2θ/deg	Rel. int.	h k l
35.15	100	2 2 0
63.06	36	4 2 2
24.65	19	2 0 0
50.55	18	4 0 0
84.93	16	6 2 0
74.29	11	4 4 0
21.31	8	1 1 1
57.03	8	4 2 0
43.40	6	2 2 2
41.47	4	3 1 1

Crystal structure
a = 7.222 Å, b = 7.222 Å, c = 7.222 Å
α = 90.00°, β = 90.00°, γ = 90.00°
Space group F-43m (No. 216)
Symmetry-distinct sites (fractional):
Ce 0.000 0.000 0.000 [4 per cell]
Sm 0.000 0.000 0.500 [4 per cell]
Mg 0.250 0.250 0.250 [4 per cell]
Tc 0.250 0.250 0.750 [4 per cell]